Calculated powder diffraction line list of Ho2Al5Zn12 for a wavelength of 1.5418 Å, from a crystal structure in Alexandria, relaxed with PBE.
Neutral-atom scattering factors, no anomalous dispersion.

Cell and atoms:
```
data_Ho2Al5Zn12
_symmetry_space_group_name_H-M 'P 1'
_symmetry_Int_Tables_number 1
_cell_length_a 6.8593
_cell_length_b 6.8593
_cell_length_c 6.8593
_cell_angle_alpha 82.78
_cell_angle_beta 82.78
_cell_angle_gamma 82.78
loop_
_symmetry_equiv_pos_as_xyz
'x,y,z'
loop_
_atom_site_label
_atom_site_fract_x
_atom_site_fract_y
_atom_site_fract_z
Ho1 0.1685 0.1685 0.1685
Ho2 0.8315 0.8315 0.8315
Al1 0.0000 0.5000 0.5000
Al2 0.4012 0.4012 0.4012
Al3 0.5000 0.0000 0.5000
Al4 0.5000 0.5000 0.0000
Al5 0.5988 0.5988 0.5988
Zn1 0.1463 0.1463 0.6637
Zn2 0.1463 0.6637 0.1463
Zn3 0.1955 0.5000 0.8045
Zn4 0.1955 0.8045 0.5000
Zn5 0.3363 0.8537 0.8537
Zn6 0.5000 0.1955 0.8045
Zn7 0.5000 0.8045 0.1955
Zn8 0.6637 0.1463 0.1463
Zn9 0.8045 0.1955 0.5000
Zn10 0.8045 0.5000 0.1955
Zn11 0.8537 0.3363 0.8537
Zn12 0.8537 0.8537 0.3363
```

Peak list (10 most intense, 10 to 90 degrees two-theta, sorted by position)
| d_spacing | two_theta | I/Imax |
| --- | --- | --- |
| 6.762 | 13.09 | 183 |
| 3.381 | 26.36 | 171 |
| 3.169 | 28.16 | 241 |
| 2.619 | 34.24 | 365 |
| 2.537 | 35.39 | 256 |
| 2.268 | 39.75 | 324 |
| 2.254 | 40.00 | 1000 |
| 2.215 | 40.74 | 320 |
| 1.431 | 65.20 | 189 |
| 1.286 | 73.65 | 167 |

=====

Calculated powder diffraction line list of Tm2ThCd6 for a wavelength of 1.5418 Å, from a crystal structure in Alexandria, relaxed with PBE.
Neutral-atom scattering factors, no anomalous dispersion.

Cell and atoms:
```
data_Tm2ThCd6
_symmetry_space_group_name_H-M 'P 1'
_symmetry_Int_Tables_number 1
_cell_length_a 8.6850
_cell_length_b 8.6850
_cell_length_c 3.3881
_cell_angle_alpha 90.00
_cell_angle_beta 90.00
_cell_angle_gamma 120.00
loop_
_symmetry_equiv_pos_as_xyz
'x,y,z'
loop_
_atom_site_label
_atom_site_fract_x
_atom_site_fract_y
_atom_site_fract_z
Tm1 0.3333 0.6667 0.0000
Tm2 0.6667 0.3333 0.0000
Th1 0.0000 0.0000 0.0000
Cd1 0.0000 0.3378 0.5000
Cd2 0.0000 0.6622 0.5000
Cd3 0.3378 0.0000 0.5000
Cd4 0.3378 0.3378 0.5000
Cd5 0.6622 0.0000 0.5000
Cd6 0.6622 0.6622 0.5000
```

Peak list (10 most intense, 10 to 90 degrees two-theta, sorted by position)
| d_spacing | two_theta | I/Imax |
| --- | --- | --- |
| 4.342 | 20.45 | 91 |
| 2.671 | 33.55 | 1000 |
| 2.507 | 35.82 | 799 |
| 1.828 | 49.89 | 325 |
| 1.477 | 62.92 | 321 |
| 1.447 | 64.36 | 140 |
| 1.404 | 66.63 | 254 |
| 1.254 | 75.90 | 87 |
| 1.135 | 85.58 | 139 |
| 1.100 | 88.94 | 120 |

=====

Calculated powder diffraction line list of Dy5ErTm2 for a wavelength of 1.5418 Å, from a crystal structure in Alexandria, relaxed with PBE.
Neutral-atom scattering factors, no anomalous dispersion.

Cell and atoms:
```
data_Dy5ErTm2
_symmetry_space_group_name_H-M 'P 1'
_symmetry_Int_Tables_number 1
_cell_length_a 7.0337
_cell_length_b 14.0675
_cell_length_c 4.9675
_cell_angle_alpha 90.00
_cell_angle_beta 90.00
_cell_angle_gamma 90.00
loop_
_symmetry_equiv_pos_as_xyz
'x,y,z'
loop_
_atom_site_label
_atom_site_fract_x
_atom_site_fract_y
_atom_site_fract_z
Dy1 0.0000 0.0000 0.0000
Dy2 0.9998 0.2502 0.0000
Dy3 0.0002 0.7498 0.0000
Dy4 0.2500 0.1249 0.5000
Dy5 0.2500 0.6249 0.5000
Dy6 0.4998 0.2498 0.0000
Dy7 0.5000 0.5000 0.0000
Dy8 0.5002 0.7502 0.0000
Dy9 0.7500 0.3751 0.5000
Dy10 0.7500 0.8751 0.5000
Er1 0.0000 0.5000 0.0000
Er2 0.5000 0.0000 0.0000
Tm1 0.2498 0.3753 0.5000
Tm2 0.2502 0.8753 0.5000
Tm3 0.7498 0.1247 0.5000
Tm4 0.7502 0.6247 0.5000
```

Peak list (10 most intense, 10 to 90 degrees two-theta, sorted by position)
| d_spacing | two_theta | I/Imax |
| --- | --- | --- |
| 2.870 | 31.16 | 1000 |
| 2.486 | 36.13 | 506 |
| 1.758 | 52.03 | 359 |
| 1.499 | 61.90 | 427 |
| 1.435 | 64.98 | 123 |
| 1.243 | 76.63 | 38 |
| 1.242 | 76.75 | 19 |
| 1.141 | 85.05 | 179 |
| 1.112 | 87.78 | 112 |
| 1.111 | 87.88 | 56 |

=====

Calculated powder diffraction line list of FeCuMoHSe for a wavelength of 1.5418 Å, from a crystal structure in Alexandria, relaxed with PBE.
Neutral-atom scattering factors, no anomalous dispersion.

Cell and atoms:
```
data_FeCuMoHSe
_symmetry_space_group_name_H-M 'P 1'
_symmetry_Int_Tables_number 1
_cell_length_a 11.9916
_cell_length_b 3.8066
_cell_length_c 2.8007
_cell_angle_alpha 90.00
_cell_angle_beta 99.92
_cell_angle_gamma 90.00
loop_
_symmetry_equiv_pos_as_xyz
'x,y,z'
loop_
_atom_site_label
_atom_site_fract_x
_atom_site_fract_y
_atom_site_fract_z
Fe1 0.0000 0.0000 0.0000
Fe2 0.5000 0.5000 0.0000
Cu1 0.2112 0.0000 0.2156
Cu2 0.7112 0.5000 0.2156
Mo1 0.0966 0.5000 0.6262
Mo2 0.5966 0.0000 0.6262
H1 0.4840 0.0000 0.0274
H2 0.9840 0.5000 0.0274
Se1 0.3337 0.5000 0.3842
Se2 0.8337 0.0000 0.3842
```

Peak list (10 most intense, 10 to 90 degrees two-theta, sorted by position)
| d_spacing | two_theta | I/Imax |
| --- | --- | --- |
| 5.906 | 15.00 | 343 |
| 3.623 | 24.57 | 321 |
| 2.737 | 32.72 | 798 |
| 2.349 | 38.32 | 340 |
| 2.253 | 40.02 | 422 |
| 2.215 | 40.73 | 356 |
| 2.141 | 42.21 | 710 |
| 2.071 | 43.71 | 612 |
| 2.007 | 45.17 | 1000 |
| 1.903 | 47.79 | 534 |

=====

Calculated powder diffraction line list of BaSc2Rh2 for a wavelength of 1.5418 Å, from a crystal structure in Alexandria, relaxed with PBE.
Neutral-atom scattering factors, no anomalous dispersion.

Cell and atoms:
```
data_BaSc2Rh2
_symmetry_space_group_name_H-M 'P 1'
_symmetry_Int_Tables_number 1
_cell_length_a 4.4766
_cell_length_b 4.4766
_cell_length_c 11.8801
_cell_angle_alpha 90.00
_cell_angle_beta 90.00
_cell_angle_gamma 90.00
loop_
_symmetry_equiv_pos_as_xyz
'x,y,z'
loop_
_atom_site_label
_atom_site_fract_x
_atom_site_fract_y
_atom_site_fract_z
Ba1 0.0000 0.0000 0.0000
Ba2 0.5000 0.5000 0.5000
Sc1 0.0000 0.5000 0.2500
Sc2 0.0000 0.5000 0.7500
Sc3 0.5000 0.0000 0.2500
Sc4 0.5000 0.0000 0.7500
Rh1 0.0000 0.0000 0.3800
Rh2 0.0000 0.0000 0.6200
Rh3 0.5000 0.5000 0.1200
Rh4 0.5000 0.5000 0.8800
```

Peak list (10 most intense, 10 to 90 degrees two-theta, sorted by position)
| d_spacing | two_theta | I/Imax |
| --- | --- | --- |
| 3.165 | 28.19 | 533 |
| 2.966 | 30.13 | 1000 |
| 2.794 | 32.04 | 658 |
| 2.238 | 40.29 | 588 |
| 2.166 | 41.70 | 159 |
| 2.099 | 43.10 | 493 |
| 1.787 | 51.12 | 446 |
| 1.583 | 58.30 | 192 |
| 1.531 | 60.47 | 352 |
| 1.237 | 77.07 | 161 |

=====

Calculated powder diffraction line list of La5Y5Ho2 for a wavelength of 1.5418 Å, from a crystal structure in Alexandria, relaxed with PBE.
Neutral-atom scattering factors, no anomalous dispersion.

Cell and atoms:
```
data_La5Y5Ho2
_symmetry_space_group_name_H-M 'P 1'
_symmetry_Int_Tables_number 1
_cell_length_a 9.1283
_cell_length_b 9.1283
_cell_length_c 9.9866
_cell_angle_alpha 123.07
_cell_angle_beta 123.07
_cell_angle_gamma 36.96
loop_
_symmetry_equiv_pos_as_xyz
'x,y,z'
loop_
_atom_site_label
_atom_site_fract_x
_atom_site_fract_y
_atom_site_fract_z
La1 0.0000 0.0000 0.0000
La2 0.1212 0.1212 0.7855
La3 0.2488 0.2488 0.2553
La4 0.7512 0.7512 0.7447
La5 0.8788 0.8788 0.2145
Y1 0.3746 0.3746 0.7048
Y2 0.3763 0.3763 0.0452
Y3 0.5000 0.5000 0.5000
Y4 0.6237 0.6237 0.9548
Y5 0.6254 0.6254 0.2952
Ho1 0.1237 0.1237 0.4582
Ho2 0.8763 0.8763 0.5419
```

Peak list (10 most intense, 10 to 90 degrees two-theta, sorted by position)
| d_spacing | two_theta | I/Imax |
| --- | --- | --- |
| 2.889 | 30.95 | 1000 |
| 2.044 | 44.32 | 146 |
| 1.770 | 51.63 | 41 |
| 1.669 | 55.01 | 160 |
| 1.666 | 55.14 | 123 |
| 1.510 | 61.40 | 106 |
| 1.508 | 61.49 | 50 |
| 1.443 | 64.60 | 41 |
| 1.293 | 73.19 | 38 |
| 1.093 | 89.67 | 37 |

=====

Calculated powder diffraction line list of CaTm2Rh for a wavelength of 1.5418 Å, from a crystal structure in Alexandria, relaxed with PBE.
Neutral-atom scattering factors, no anomalous dispersion.

Cell and atoms:
```
data_CaTm2Rh
_symmetry_space_group_name_H-M 'P 1'
_symmetry_Int_Tables_number 1
_cell_length_a 3.9201
_cell_length_b 3.9201
_cell_length_c 28.2064
_cell_angle_alpha 90.00
_cell_angle_beta 90.00
_cell_angle_gamma 120.00
loop_
_symmetry_equiv_pos_as_xyz
'x,y,z'
loop_
_atom_site_label
_atom_site_fract_x
_atom_site_fract_y
_atom_site_fract_z
Ca1 0.0000 0.0000 0.0000
Ca2 0.3333 0.6667 0.6667
Ca3 0.6667 0.3333 0.3333
Tm1 0.0000 0.0000 0.2197
Tm2 0.0000 0.0000 0.7803
Tm3 0.3333 0.6667 0.4470
Tm4 0.3333 0.6667 0.8863
Tm5 0.6667 0.3333 0.1137
Tm6 0.6667 0.3333 0.5530
Rh1 0.0000 0.0000 0.5000
Rh2 0.3333 0.6667 0.1667
Rh3 0.6667 0.3333 0.8333
```

Peak list (10 most intense, 10 to 90 degrees two-theta, sorted by position)
| d_spacing | two_theta | I/Imax |
| --- | --- | --- |
| 3.301 | 27.01 | 205 |
| 3.059 | 29.20 | 1000 |
| 2.909 | 30.74 | 251 |
| 2.596 | 34.55 | 635 |
| 2.046 | 44.27 | 265 |
| 1.960 | 46.32 | 428 |
| 1.919 | 47.38 | 210 |
| 1.733 | 52.84 | 247 |
| 1.564 | 59.05 | 171 |
| 1.223 | 78.12 | 310 |

=====

Calculated powder diffraction line list of MgH3Ir for a wavelength of 1.5418 Å, from a crystal structure in Alexandria, relaxed with PBE.
Neutral-atom scattering factors, no anomalous dispersion.

Cell and atoms:
```
data_MgH3Ir
_symmetry_space_group_name_H-M 'P 1'
_symmetry_Int_Tables_number 1
_cell_length_a 6.3780
_cell_length_b 6.3780
_cell_length_c 4.4852
_cell_angle_alpha 90.01
_cell_angle_beta 90.01
_cell_angle_gamma 150.83
loop_
_symmetry_equiv_pos_as_xyz
'x,y,z'
loop_
_atom_site_label
_atom_site_fract_x
_atom_site_fract_y
_atom_site_fract_z
Mg1 0.0000 0.0000 0.0000
Mg2 0.7473 0.2527 0.5000
H1 0.1424 0.3896 0.7400
H2 0.1790 0.7998 0.7649
H3 0.2002 0.8210 0.2351
H4 0.5560 0.4184 0.7406
H5 0.5816 0.4440 0.2594
H6 0.6104 0.8576 0.2600
Ir1 0.2916 0.7084 0.0000
Ir2 0.4683 0.5317 0.5000
```

Peak list (10 most intense, 10 to 90 degrees two-theta, sorted by position)
| d_spacing | two_theta | I/Imax |
| --- | --- | --- |
| 6.172 | 14.35 | 524 |
| 3.628 | 24.53 | 916 |
| 3.109 | 28.72 | 625 |
| 3.086 | 28.93 | 285 |
| 2.555 | 35.12 | 502 |
| 2.542 | 35.30 | 404 |
| 2.243 | 40.21 | 276 |
| 2.205 | 40.93 | 1000 |
| 1.958 | 46.38 | 207 |
| 1.819 | 50.16 | 268 |

=====

Calculated powder diffraction line list of Pr3Zn4Pd4 for a wavelength of 1.5418 Å, from a crystal structure in Alexandria, relaxed with PBE.
Neutral-atom scattering factors, no anomalous dispersion.

Cell and atoms:
```
data_Pr3Zn4Pd4
_symmetry_space_group_name_H-M 'P 1'
_symmetry_Int_Tables_number 1
_cell_length_a 8.4006
_cell_length_b 8.4006
_cell_length_c 8.4006
_cell_angle_alpha 151.03
_cell_angle_beta 127.56
_cell_angle_gamma 61.02
loop_
_symmetry_equiv_pos_as_xyz
'x,y,z'
loop_
_atom_site_label
_atom_site_fract_x
_atom_site_fract_y
_atom_site_fract_z
Pr1 0.0000 0.0000 0.0000
Pr2 0.3700 0.8700 0.5000
Pr3 0.6300 0.1300 0.5000
Zn1 0.0201 0.3281 0.6919
Zn2 0.3638 0.6719 0.6919
Zn3 0.6362 0.3281 0.3081
Zn4 0.9799 0.6719 0.3081
Pd1 0.2163 0.2163 0.0000
Pd2 0.3062 0.5000 0.8062
Pd3 0.6938 0.5000 0.1938
Pd4 0.7837 0.7837 0.0000
```

Peak list (10 most intense, 10 to 90 degrees two-theta, sorted by position)
| d_spacing | two_theta | I/Imax |
| --- | --- | --- |
| 2.732 | 32.78 | 1000 |
| 2.697 | 33.22 | 274 |
| 2.572 | 34.88 | 935 |
| 2.411 | 37.29 | 274 |
| 2.202 | 40.99 | 292 |
| 2.101 | 43.05 | 366 |
| 2.006 | 45.21 | 209 |
| 1.658 | 55.41 | 207 |
| 1.520 | 60.95 | 177 |
| 1.305 | 72.39 | 280 |

=====

Calculated powder diffraction line list of KNb5S8 for a wavelength of 1.5418 Å, from a crystal structure in Alexandria, relaxed with PBE.
Neutral-atom scattering factors, no anomalous dispersion.

Cell and atoms:
```
data_KNb5S8
_symmetry_space_group_name_H-M 'P 1'
_symmetry_Int_Tables_number 1
_cell_length_a 9.0064
_cell_length_b 9.0064
_cell_length_c 9.4397
_cell_angle_alpha 106.14
_cell_angle_beta 106.14
_cell_angle_gamma 21.67
loop_
_symmetry_equiv_pos_as_xyz
'x,y,z'
loop_
_atom_site_label
_atom_site_fract_x
_atom_site_fract_y
_atom_site_fract_z
K1 0.0000 0.0000 0.0000
Nb1 0.1755 0.1755 0.5330
Nb2 0.2185 0.2185 0.9124
Nb3 0.5218 0.5218 0.5319
Nb4 0.7967 0.7967 0.1679
Nb5 0.8245 0.8245 0.5379
S1 0.0894 0.0894 0.7102
S2 0.2562 0.2562 0.3475
S3 0.3605 0.3605 0.0486
S4 0.4184 0.4184 0.6893
S5 0.5946 0.5946 0.3518
S6 0.6559 0.6559 0.0338
S7 0.7541 0.7541 0.7258
S8 0.9262 0.9262 0.3832
```

Peak list (10 most intense, 10 to 90 degrees two-theta, sorted by position)
| d_spacing | two_theta | I/Imax |
| --- | --- | --- |
| 8.484 | 10.43 | 1000 |
| 7.308 | 12.11 | 551 |
| 4.527 | 19.61 | 610 |
| 2.906 | 30.77 | 467 |
| 2.656 | 33.74 | 542 |
| 2.437 | 36.89 | 373 |
| 2.298 | 39.20 | 730 |
| 2.264 | 39.82 | 959 |
| 2.142 | 42.20 | 422 |
| 1.696 | 54.06 | 504 |

=====

Calculated powder diffraction line list of PmZn12Pt4 for a wavelength of 1.5418 Å, from a crystal structure in Alexandria, relaxed with PBE.
Neutral-atom scattering factors, no anomalous dispersion.

Cell and atoms:
```
data_PmZn12Pt4
_symmetry_space_group_name_H-M 'P 1'
_symmetry_Int_Tables_number 1
_cell_length_a 7.5581
_cell_length_b 7.5581
_cell_length_c 7.5581
_cell_angle_alpha 109.47
_cell_angle_beta 109.47
_cell_angle_gamma 109.47
loop_
_symmetry_equiv_pos_as_xyz
'x,y,z'
loop_
_atom_site_label
_atom_site_fract_x
_atom_site_fract_y
_atom_site_fract_z
Pm1 0.0000 0.0000 0.0000
Zn1 0.1520 0.3517 0.5037
Zn2 0.1520 0.6483 0.8004
Zn3 0.1996 0.8480 0.3517
Zn4 0.3517 0.1996 0.8480
Zn5 0.3517 0.5037 0.1520
Zn6 0.4963 0.8480 0.6483
Zn7 0.5037 0.1520 0.3517
Zn8 0.6483 0.4963 0.8480
Zn9 0.6483 0.8004 0.1520
Zn10 0.8004 0.1520 0.6483
Zn11 0.8480 0.3517 0.1996
Zn12 0.8480 0.6483 0.4963
Pt1 0.0000 0.0000 0.5000
Pt2 0.0000 0.5000 0.0000
Pt3 0.5000 0.0000 0.0000
Pt4 0.5000 0.5000 0.5000
```

Peak list (10 most intense, 10 to 90 degrees two-theta, sorted by position)
| d_spacing | two_theta | I/Imax |
| --- | --- | --- |
| 4.364 | 20.35 | 523 |
| 3.086 | 28.94 | 1000 |
| 2.760 | 32.44 | 750 |
| 2.519 | 35.64 | 192 |
| 2.332 | 38.60 | 359 |
| 1.951 | 46.54 | 715 |
| 1.781 | 51.28 | 841 |
| 1.712 | 53.54 | 298 |
| 1.380 | 67.93 | 300 |
| 1.166 | 82.76 | 203 |

=====

Calculated powder diffraction line list of DyGa2SiNi2 for a wavelength of 1.5418 Å, from a crystal structure in Alexandria, relaxed with PBE.
Neutral-atom scattering factors, no anomalous dispersion.

Cell and atoms:
```
data_DyGa2SiNi2
_symmetry_space_group_name_H-M 'P 1'
_symmetry_Int_Tables_number 1
_cell_length_a 4.2843
_cell_length_b 4.2843
_cell_length_c 5.4642
_cell_angle_alpha 90.00
_cell_angle_beta 90.00
_cell_angle_gamma 90.00
loop_
_symmetry_equiv_pos_as_xyz
'x,y,z'
loop_
_atom_site_label
_atom_site_fract_x
_atom_site_fract_y
_atom_site_fract_z
Dy1 0.0000 0.0000 0.0000
Ga1 0.5000 0.5000 0.2351
Ga2 0.5000 0.5000 0.7649
Si1 0.0000 0.0000 0.5000
Ni1 0.0000 0.5000 0.5000
Ni2 0.5000 0.0000 0.5000
```

Peak list (10 most intense, 10 to 90 degrees two-theta, sorted by position)
| d_spacing | two_theta | I/Imax |
| --- | --- | --- |
| 3.371 | 26.44 | 336 |
| 3.029 | 29.49 | 395 |
| 2.649 | 33.83 | 1000 |
| 2.304 | 39.10 | 978 |
| 2.142 | 42.19 | 769 |
| 1.569 | 58.87 | 581 |
| 1.515 | 61.19 | 247 |
| 1.315 | 71.78 | 212 |
| 1.266 | 75.05 | 141 |
| 1.152 | 84.03 | 189 |

=====

Calculated powder diffraction line list of Pr6Tl5In for a wavelength of 1.5418 Å, from a crystal structure in Alexandria, relaxed with PBE.
Neutral-atom scattering factors, no anomalous dispersion.

Cell and atoms:
```
data_Pr6Tl5In
_symmetry_space_group_name_H-M 'P 1'
_symmetry_Int_Tables_number 1
_cell_length_a 7.7195
_cell_length_b 7.7195
_cell_length_c 6.8914
_cell_angle_alpha 98.34
_cell_angle_beta 98.34
_cell_angle_gamma 99.09
loop_
_symmetry_equiv_pos_as_xyz
'x,y,z'
loop_
_atom_site_label
_atom_site_fract_x
_atom_site_fract_y
_atom_site_fract_z
Pr1 0.0835 0.4154 0.2488
Pr2 0.2501 0.2501 0.7525
Pr3 0.4154 0.0835 0.2488
Pr4 0.5846 0.9165 0.7512
Pr5 0.7499 0.7499 0.2475
Pr6 0.9165 0.5846 0.7512
Tl1 0.1658 0.8342 0.5000
Tl2 0.3315 0.6685 0.0000
Tl3 0.5000 0.5000 0.5000
Tl4 0.6685 0.3315 0.0000
Tl5 0.8342 0.1658 0.5000
In1 0.0000 0.0000 0.0000
```

Peak list (10 most intense, 10 to 90 degrees two-theta, sorted by position)
| d_spacing | two_theta | I/Imax |
| --- | --- | --- |
| 3.111 | 28.70 | 510 |
| 3.091 | 28.89 | 1000 |
| 2.517 | 35.67 | 288 |
| 2.490 | 36.08 | 557 |
| 2.441 | 36.82 | 264 |
| 1.981 | 45.80 | 286 |
| 1.958 | 46.37 | 138 |
| 1.657 | 55.45 | 163 |
| 1.614 | 57.07 | 225 |
| 1.545 | 59.85 | 129 |